Simulated X-ray diffraction stick pattern of BaH5N2 for Cu Kα, 1.54184 Å, from a structure optimized by DFT (GGA-PBE).

a = 4.907 Å, b = 4.907 Å, c = 4.907 Å
α = 113.05°, β = 108.00°, γ = 107.43°
Positions (direct):
Ba 0.000 0.000 0.000
H 0.000 0.500 0.500
H 0.333 0.347 0.681
H 0.333 0.653 0.986
H 0.667 0.347 0.014
H 0.667 0.653 0.319
N 0.225 0.500 0.725
N 0.775 0.500 0.275

Principal peaks in the range 10 to 90 degrees two-theta, by angle:
d/Å  2θ (°)  I_rel
4.093  21.71  79
3.952  22.50  100
2.904  30.79  26
2.707  33.10  19
2.339  38.48  32
2.332  38.62  48
2.258  39.93  34
1.980  45.83  14
1.824  49.99  12
1.480  62.78  18